This entry pairs a crystal structure of La3Sm2Y6Ho with its simulated X-ray diffraction stick pattern. Radiation: Cu Ka. Structure: a structure optimized by DFT (PBE).

Cell and atoms:
```
La3Sm2Y6Ho
1.0
3.1410 -5.4408 0.0000
3.1410 5.4408 0.0000
-2.0906 0.0000 11.7295
La Sm Y Ho
3 2 6 1
Direct
0.0000 0.0000 0.0000
0.3331 0.6669 0.0000
0.6669 0.3331 0.0000
0.1665 0.8335 0.5000
0.8335 0.1665 0.5000
0.0853 0.4183 0.2539
0.2489 0.2489 0.7463
0.4183 0.0853 0.2539
0.5817 0.9147 0.7461
0.7511 0.7511 0.2537
0.9147 0.5817 0.7461
0.5000 0.5000 0.5000
```

The 6 most intense peaks (10° ≤ 2θ ≤ 80°), low angle first:
d (Å), Position (°2θ), I_rel
2.958, 30.2, 100
2.932, 30.5, 32
2.556, 35.1, 67
1.814, 50.3, 24
1.802, 50.7, 23
1.542, 60.0, 28

***

This entry pairs a crystal structure of Mo3Au5 with its simulated X-ray diffraction stick pattern. Radiation: Cu Ka. Structure: a structure optimized by DFT (PBE).

Cell and atoms:
```
Mo3Au5
1.0
4.9479 0.0000 0.0000
1.3323 7.0340 0.0000
1.0474 0.0870 8.2253
Mo Au
6 10
Direct
0.0985 0.1351 0.0123
0.3066 0.9396 0.4613
0.3969 0.4949 0.3895
0.6031 0.5051 0.6105
0.6934 0.0604 0.5387
0.9015 0.8649 0.9877
0.0026 0.7166 0.6621
0.1366 0.2754 0.6696
0.2543 0.5218 0.9229
0.3639 0.8025 0.1538
0.4393 0.8568 0.7924
0.5607 0.1432 0.2076
0.6361 0.1975 0.8462
0.7457 0.4782 0.0771
0.8634 0.7246 0.3304
0.9974 0.2834 0.3379
```

The 6 most intense peaks (10° ≤ 2θ ≤ 80°), low angle first:
d (Å), Position (°2θ), I_rel
2.625, 34.2, 52
2.520, 35.6, 50
2.456, 36.6, 83
2.270, 39.7, 85
2.161, 41.8, 100
1.283, 73.9, 50

***

This entry pairs a crystal structure of SmYB12 with its simulated X-ray diffraction stick pattern. Radiation: Cu Ka. Structure: a structure optimized by DFT (PBE).

Cell and atoms:
```
SmYB12
1.0
4.1102 0.0000 0.0000
0.0000 4.1102 0.0000
0.0000 0.0000 8.2228
Sm Y B
1 1 12
Direct
0.0000 0.0000 0.0000
0.0000 0.0000 0.5000
0.1992 0.5000 0.2508
0.1992 0.5000 0.7492
0.5000 0.1992 0.2508
0.5000 0.1992 0.7492
0.5000 0.5000 0.0998
0.5000 0.5000 0.4008
0.5000 0.5000 0.5992
0.5000 0.5000 0.9002
0.5000 0.8008 0.2508
0.5000 0.8008 0.7492
0.8008 0.5000 0.2508
0.8008 0.5000 0.7492
```

The 6 most intense peaks (10° ≤ 2θ ≤ 80°), low angle first:
d (Å), Position (°2θ), I_rel
4.111, 21.6, 58
2.907, 30.8, 100
2.373, 37.9, 43
1.838, 49.6, 48
1.678, 54.7, 25
1.370, 68.5, 28

***

This entry pairs a crystal structure of Ho4SiSe3 with its simulated X-ray diffraction stick pattern. Radiation: Cu Ka. Structure: a structure optimized by DFT (PBE).

Cell and atoms:
```
Ho4SiSe3
1.0
7.0851 0.0000 0.0000
0.0000 8.1903 0.0000
-2.3508 0.0000 6.6414
Ho Si Se
8 2 6
Direct
0.2367 0.1171 0.0012
0.2367 0.8829 0.5012
0.2406 0.3616 0.4882
0.2406 0.6384 0.9882
0.7594 0.3616 0.0118
0.7594 0.6384 0.5118
0.7633 0.1171 0.4988
0.7633 0.8829 0.9988
0.0000 0.1240 0.2500
0.0000 0.8760 0.7500
0.0000 0.3781 0.7500
0.0000 0.6219 0.2500
0.5000 0.1276 0.7500
0.5000 0.3800 0.2500
0.5000 0.6200 0.7500
0.5000 0.8724 0.2500
```

The 6 most intense peaks (10° ≤ 2θ ≤ 80°), low angle first:
d (Å), Position (°2θ), I_rel
3.339, 26.7, 24
2.888, 31.0, 100
2.046, 44.3, 36
2.038, 44.5, 36
1.670, 55.0, 19
1.290, 73.4, 10